Structure and computed X-ray diffraction stick pattern of LiMn3P3O12 (a cell relaxed with PBE+U; CuKα).
No peak broadening, texture or thermal motion is included.

Cell and atoms:
a b c (Å): 6.7501 8.5342 8.5882
angles (deg): 90.02 109.33 108.89
Positions (direct):
1 Li 0.0000 0.0000 0.0000
2 Li 0.2478 0.4871 0.5101
3 Mn 0.1386 0.8807 0.5638
4 Mn 0.2556 0.7758 0.2230
5 Mn 0.3574 0.4331 0.1168
6 Mn 0.6508 0.5657 0.8868
7 Mn 0.7451 0.2281 0.7704
8 Mn 0.8539 0.1133 0.4348
9 P 0.1247 0.6268 0.8451
10 P 0.2473 0.2062 0.7876
11 P 0.3685 0.1531 0.3721
12 P 0.6255 0.8428 0.6262
13 P 0.7522 0.7917 0.2116
14 P 0.8806 0.3722 0.1558
15 O 0.0363 0.2376 0.6628
16 O 0.1115 0.5128 0.1830
17 O 0.1252 0.6801 0.6726
18 O 0.1666 0.7718 0.9715
19 O 0.1901 0.0926 0.4597
20 O 0.2340 0.2254 0.9634
21 O 0.2509 0.0276 0.7649
22 O 0.3015 0.0250 0.2210
23 O 0.3094 0.5436 0.9083
24 O 0.3728 0.3271 0.3205
25 O 0.3936 0.8221 0.4904
26 O 0.4610 0.3307 0.7635
27 O 0.5351 0.6697 0.2313
28 O 0.5999 0.6650 0.6785
29 O 0.6012 0.1693 0.5036
30 O 0.6929 0.4528 0.0946
31 O 0.6961 0.9736 0.7757
32 O 0.7458 0.9703 0.2336
33 O 0.7671 0.7737 0.0357
34 O 0.8067 0.9009 0.5409
35 O 0.8349 0.2286 0.0268
36 O 0.8928 0.4903 0.8227
37 O 0.9013 0.3191 0.3328
38 O 0.9665 0.7648 0.3337

Main lines, low angle first (2θ = 5–70°):
2θ (°), d/Å, Rel. int., hkl
14.63, 6.054, 100, 0 1 -1
16.52, 5.365, 43, 0 1 1
25.98, 3.430, 18, 0 2 1
27.99, 3.188, 63, 2 0 -1
29.55, 3.023, 14, 0 2 -2
29.88, 2.990, 24, 2 0 0
32.95, 2.718, 19, -2 2 2
33.40, 2.683, 31, 0 2 2
33.96, 2.640, 25, 0 1 -3
34.06, 2.632, 23, 0 3 -1